1.
Starting from a structure optimized by DFT (GGA-PBE), the powder X-ray diffraction pattern of SmPdPb was simulated for a wavelength of 1.5418 Å.

Cell and atoms:
abc: 7.9256 7.9256 3.9798
angles: 90.00 90.00 120.00
Atoms (fractional coordinates):
Sm: 0.0000 0.4031 0.0000
Sm: 0.4031 0.0000 0.0000
Sm: 0.5969 0.5969 0.0000
Pd: 0.0000 0.0000 0.0000
Pd: 0.3333 0.6667 0.5000
Pd: 0.6667 0.3333 0.5000
Pb: 0.0000 0.7374 0.5000
Pb: 0.2626 0.2626 0.5000
Pb: 0.7374 0.0000 0.5000

Largest 10 diffraction maxima, in order of falling intensity, 2θ from 5° to 70°:
d [Å]  I (rel.)  h k l
2.597  100  2 0 1
2.808  86  1 1 1
2.288  31  3 0 0
1.464  28  3 2 1
2.173  23  2 1 1
1.579  20  2 1 2
1.990  18  0 0 2
1.501  17  3 0 2
1.717  13  4 0 0
1.575  11  4 0 1


2.
Starting from a structure optimized by DFT (GGA-PBE), the powder X-ray diffraction pattern of Sr2C2N3 was simulated for a wavelength of 1.5418 Å.

Cell and atoms:
abc: 10.1907 10.1907 6.9319
angles: 90.00 90.00 120.00
Atoms (fractional coordinates):
Sr: 0.1979 0.3958 0.2500
Sr: 0.1979 0.8021 0.2500
Sr: 0.3333 0.6667 0.7500
Sr: 0.3958 0.1979 0.7500
Sr: 0.6042 0.8021 0.2500
Sr: 0.6667 0.3333 0.2500
Sr: 0.8021 0.1979 0.7500
Sr: 0.8021 0.6042 0.7500
C: 0.0000 0.0000 0.2500
C: 0.0000 0.0000 0.7500
C: 0.0000 0.5000 0.0000
C: 0.0000 0.5000 0.5000
C: 0.5000 0.0000 0.0000
C: 0.5000 0.0000 0.5000
C: 0.5000 0.5000 0.0000
C: 0.5000 0.5000 0.5000
N: 0.1387 0.5693 0.0290
N: 0.1387 0.5693 0.4710
N: 0.4307 0.5693 0.0290
N: 0.4307 0.5693 0.4710
N: 0.4307 0.8613 0.0290
N: 0.4307 0.8613 0.4710
N: 0.5693 0.1387 0.5290
N: 0.5693 0.1387 0.9710
N: 0.5693 0.4307 0.5290
N: 0.5693 0.4307 0.9710
N: 0.8613 0.4307 0.5290
N: 0.8613 0.4307 0.9710

Largest 10 diffraction maxima, in order of falling intensity, 2θ from 5° to 70°:
d [Å]  I (rel.)  h k l
3.722  100  2 0 1
8.825  47  1 0 0
2.726  28  2 0 2
2.047  21  2 0 3
2.548  18  2 2 0
2.708  17  3 0 1
2.053  16  2 2 2
2.403  14  2 1 2
2.102  13  4 0 1
3.466  12  0 0 2